Entry 1:
Structure and calculated X-ray diffraction stick pattern of KIr5S8 (the PBE geometry in Alexandria; copper Kα).

Principal peaks in the range 10° ≤ 2θ ≤ 90°, in order of falling intensity:
2theta  I (rel.)
10.80  100
10.31  45
29.26  43
12.81  39
26.48  31
20.67  31
28.98  30
30.24  27
47.26  25
32.81  22

Crystal structure
Cell lengths 3.635, 8.500, 9.054 Å; angles 104.83, 100.64, 91.49 degrees
Fractional positions:
1 K 0.000 0.000 0.000
2 Ir 0.223 0.449 0.330
3 Ir 0.295 0.815 0.409
4 Ir 0.556 0.499 0.996
5 Ir 0.782 0.534 0.714
6 Ir 0.893 0.174 0.595
7 S 0.001 0.329 0.865
8 S 0.145 0.617 0.161
9 S 0.367 0.678 0.844
10 S 0.368 0.321 0.533
11 S 0.411 0.009 0.656
12 S 0.642 0.318 0.176
13 S 0.778 0.966 0.358
14 S 0.785 0.618 0.486



Entry 2:
Structure and calculated X-ray diffraction stick pattern of CuAg2Br2Cl2 (the PBE geometry in Alexandria; copper Kα).

Principal peaks in the range 10° ≤ 2θ ≤ 90°, in order of falling intensity:
2theta  I (rel.)
30.85  100
43.39  37
36.23  35
23.50  34
27.70  32
45.84  31
36.06  25
46.17  24
13.75  21
37.79  16

Crystal structure
Cell lengths 13.258, 3.957, 6.958 Å; angles 90.00, 112.21, 90.00 degrees
Fractional positions:
1 Cu 0.000 0.000 0.000
2 Cu 0.500 0.500 0.000
3 Ag 0.217 0.000 0.744
4 Ag 0.283 0.500 0.256
5 Ag 0.717 0.500 0.744
6 Ag 0.783 0.000 0.256
7 Br 0.095 0.500 0.823
8 Br 0.405 0.000 0.177
9 Br 0.595 0.000 0.823
10 Br 0.905 0.500 0.177
11 Cl 0.149 0.000 0.292
12 Cl 0.351 0.500 0.708
13 Cl 0.649 0.500 0.292
14 Cl 0.851 0.000 0.708



What did the second record say?
Structure and calculated X-ray diffraction stick pattern of CuAg2Br2Cl2 (the PBE geometry in Alexandria; copper Kα).

Principal peaks in the range 10° ≤ 2θ ≤ 90°, in order of falling intensity:
2theta  I (rel.)
30.85  100
43.39  37
36.23  35
23.50  34
27.70  32
45.84  31
36.06  25
46.17  24
13.75  21
37.79  16

Crystal structure
Cell lengths 13.258, 3.957, 6.958 Å; angles 90.00, 112.21, 90.00 degrees
Fractional positions:
1 Cu 0.000 0.000 0.000
2 Cu 0.500 0.500 0.000
3 Ag 0.217 0.000 0.744
4 Ag 0.283 0.500 0.256
5 Ag 0.717 0.500 0.744
6 Ag 0.783 0.000 0.256
7 Br 0.095 0.500 0.823
8 Br 0.405 0.000 0.177
9 Br 0.595 0.000 0.823
10 Br 0.905 0.500 0.177
11 Cl 0.149 0.000 0.292
12 Cl 0.351 0.500 0.708
13 Cl 0.649 0.500 0.292
14 Cl 0.851 0.000 0.708